Calculated XRD peak list of Pm3ZnSe2 for Cu Kα X-rays, from a DFT-relaxed cell (PBE, Alexandria).
Lines closer than 0.1° are merged.

```
Pm3ZnSe2
1.0
5.9718 0.0000 0.0000
0.0000 12.5829 0.0000
-0.0185 0.0000 8.4790
Pm Zn Se
12 4 8
Cartesian
1.4804 1.0480 1.0815
1.4712 5.2434 5.3210
1.4812 1.0849 5.2867
1.4904 5.2066 1.0472
1.4998 9.4426 1.0779
1.4905 9.4317 5.3174
4.4628 3.1512 3.1616
4.4535 3.1403 7.4011
4.4629 7.3763 7.4318
4.4721 11.4980 3.1923
4.4821 7.3395 3.1580
4.4728 11.5349 7.3975
1.4975 7.3633 3.1817
1.4882 11.5111 7.4212
4.4651 1.0719 1.0578
4.4558 5.2196 5.2973
1.4773 3.1391 3.1766
1.4681 3.1524 7.4161
1.4774 7.3441 7.4483
1.4866 11.5303 3.2088
4.4667 1.0526 5.2702
4.4759 5.2388 1.0307
4.4852 9.4306 1.0629
4.4759 9.4438 5.3024
```

Most intense lines, 10 to 90 degrees two-theta, in order of rising 2θ:
2θ/deg  I_rel
29.95  100
42.65  13
42.86  50
43.14  12
53.39  13
70.61  17